Record 1
Structure and calculated powder diffraction line list of VFeH2O5 (a DFT-relaxed cell (PBE+U, the Materials Project); a wavelength of 1.5418 Å).

Cell and atoms:
Cell lengths 5.5606, 5.7097, 6.7682 Å; angles 100.49, 95.04, 107.19 degrees
Atoms (fractional coordinates):
V 0.2421 0.3790 0.2442
V 0.7579 0.6210 0.7558
Fe 0.1362 0.2167 0.6993
Fe 0.8638 0.7833 0.3007
H 0.3740 0.8503 0.7118
H 0.4200 0.8867 0.2961
H 0.5800 0.1133 0.7039
H 0.6260 0.1497 0.2882
O 0.1222 0.1384 0.3821
O 0.1235 0.2622 0.9938
O 0.1474 0.6388 0.3306
O 0.4087 0.0339 0.7376
O 0.4248 0.5292 0.7216
O 0.5752 0.4708 0.2784
O 0.5913 0.9661 0.2624
O 0.8526 0.3612 0.6694
O 0.8765 0.7378 0.0062
O 0.8778 0.8616 0.6179

Principal peaks in the range 10° ≤ 2θ ≤ 90°, in order of rising 2θ:
d (Å), 2θ/deg, I_rel
6.579, 13.46, 19
5.251, 16.88, 31
4.527, 19.61, 100
3.289, 27.11, 78
3.256, 27.39, 33
3.224, 27.67, 39
2.753, 32.52, 21
2.723, 32.89, 39
2.683, 33.39, 31
2.631, 34.08, 19

=====

Record 2
Structure and calculated powder diffraction line list of Li3Ni2C4O12 (a DFT-relaxed cell (PBE+U, the Materials Project); a wavelength of 1.5418 Å).

Cell and atoms:
Cell lengths 6.8849, 9.4750, 8.3722 Å; angles 90.00, 109.94, 90.00 degrees
Atoms (fractional coordinates):
Li 0.1989 0.0000 0.3315
Li 0.2478 0.6909 0.5990
Li 0.2534 0.9187 0.9024
Li 0.7466 0.4187 0.0976
Li 0.7522 0.1909 0.4010
Li 0.8011 0.5000 0.6685
Ni 0.2097 0.1903 0.7008
Ni 0.2878 0.4210 0.8004
Ni 0.7122 0.9210 0.1996
Ni 0.7903 0.6903 0.2992
C 0.0062 0.4109 0.4740
C 0.0173 0.7951 0.1059
C 0.4791 0.8093 0.3879
C 0.4923 0.1972 0.0206
C 0.5077 0.6972 0.9794
C 0.5209 0.3093 0.6121
C 0.9827 0.2951 0.8941
C 0.9938 0.9109 0.5260
O 0.0186 0.1857 0.8150
O 0.0344 0.2760 0.4949
O 0.0596 0.4205 0.8752
O 0.1010 0.4989 0.5971
O 0.1216 0.9591 0.6611
O 0.1304 0.7872 0.0172
O 0.3447 0.8225 0.4595
O 0.3817 0.6498 0.8410
O 0.3953 0.1112 0.8999
O 0.4149 0.1944 0.5983
O 0.4624 0.3332 0.0037
O 0.4980 0.4182 0.7015
O 0.5020 0.9182 0.2985
O 0.5376 0.8332 0.9963
O 0.5851 0.6944 0.4017
O 0.6047 0.6112 0.1001
O 0.6183 0.1498 0.1590
O 0.6553 0.3225 0.5405
O 0.8696 0.2872 0.9828
O 0.8784 0.4591 0.3389
O 0.8990 0.9989 0.4029
O 0.9404 0.9205 0.1248
O 0.9656 0.7760 0.5051
O 0.9814 0.6857 0.1850

Principal peaks in the range 10° ≤ 2θ ≤ 90°, in order of rising 2θ:
d (Å), 2θ/deg, I_rel
6.128, 14.45, 93
6.054, 14.63, 100
5.344, 16.59, 18
4.737, 18.73, 10
4.327, 20.52, 19
3.064, 29.14, 20
2.813, 31.81, 17
2.209, 40.84, 10
2.043, 44.33, 14
2.029, 44.66, 8

=====

Record 3
Structure and calculated powder diffraction line list of VAg3F6 (a DFT-relaxed cell (PBE+U, the Materials Project); a wavelength of 1.5418 Å).

Cell and atoms:
Cell lengths 6.0983, 6.0983, 6.0983 Å; angles 60.00, 60.00, 60.00 degrees
Atoms (fractional coordinates):
V 0.0000 0.0000 0.0000
Ag 0.2500 0.2500 0.2500
Ag 0.5000 0.5000 0.5000
Ag 0.7500 0.7500 0.7500
F 0.2259 0.2259 0.7741
F 0.2259 0.7741 0.2259
F 0.2259 0.7741 0.7741
F 0.7741 0.2259 0.2259
F 0.7741 0.2259 0.7741
F 0.7741 0.7741 0.2259

Principal peaks in the range 10° ≤ 2θ ≤ 90°, in order of rising 2θ:
d (Å), 2θ/deg, I_rel
3.049, 29.29, 100
2.600, 34.49, 5
2.490, 36.08, 9
2.156, 41.90, 37
1.979, 45.86, 4
1.760, 51.94, 37
1.525, 60.75, 21
1.364, 68.85, 17
1.245, 76.53, 7
1.152, 83.97, 20

=====

Record 4
Structure and calculated powder diffraction line list of Li9Mn2Co5O16 (a DFT-relaxed cell (PBE+U, the Materials Project); a wavelength of 1.5418 Å).

Cell and atoms:
Cell lengths 5.1033, 5.1033, 20.6142 Å; angles 98.49, 98.49, 32.76 degrees
Atoms (fractional coordinates):
Li 0.0000 0.0000 0.0000
Li 0.2455 0.2455 0.1864
Li 0.2472 0.2472 0.6889
Li 0.2480 0.2480 0.4398
Li 0.2514 0.2514 0.9422
Li 0.7486 0.7486 0.0578
Li 0.7520 0.7520 0.5602
Li 0.7528 0.7528 0.3111
Li 0.7545 0.7545 0.8136
Mn 0.4943 0.4943 0.1201
Mn 0.5057 0.5057 0.8799
Co 0.0000 0.0000 0.5000
Co 0.0032 0.0032 0.7512
Co 0.4994 0.4994 0.6247
Co 0.5006 0.5006 0.3753
Co 0.9968 0.9968 0.2488
O 0.1084 0.1084 0.5960
O 0.1088 0.1088 0.3443
O 0.1098 0.1098 0.0979
O 0.1121 0.1121 0.8455
O 0.3807 0.3807 0.2781
O 0.3810 0.3810 0.5294
O 0.3824 0.3824 0.0405
O 0.3917 0.3917 0.7840
O 0.6083 0.6083 0.2160
O 0.6176 0.6176 0.9595
O 0.6190 0.6190 0.4706
O 0.6193 0.6193 0.7219
O 0.8879 0.8879 0.1545
O 0.8902 0.8902 0.9021
O 0.8912 0.8912 0.6557
O 0.8916 0.8916 0.4040

Principal peaks in the range 10° ≤ 2θ ≤ 90°, in order of rising 2θ:
d (Å), 2θ/deg, I_rel
4.838, 18.34, 100
2.546, 35.25, 15
2.472, 36.35, 25
2.382, 37.76, 7
2.122, 42.60, 29
2.056, 44.05, 54
1.910, 47.61, 9
1.591, 57.97, 10
1.478, 62.86, 15
1.475, 63.03, 15